(1)
# LiB2H2
Simulated powder X-ray diffraction pattern, Cu Kα (λ = 1.5418 Å). Input: a structure optimized by DFT (PBE).
Neutral-atom scattering factors, no anomalous dispersion.

Top 12 peaks for 10° ≤ 2θ ≤ 90°, sorted by position:
(hkl)	d_spacing	I/Imax
0 0 1	5.414	100
2 0 0	4.980	65
2 0 -1	3.989	59
2 0 1	3.410	8
1 1 -1	2.568	11
2 0 -2	2.551	10
4 0 -1	2.410	9
4 0 -2	1.994	12
1 1 2	1.920	10
3 1 2	1.633	7
5 1 1	1.528	6
0 2 0	1.486	7

```
data_LiB2H2
_cell_length_a 10.0842
_cell_length_b 2.9725
_cell_length_c 5.4812
_cell_angle_alpha 90.00
_cell_angle_beta 98.98
_cell_angle_gamma 90.00
_symmetry_space_group_name_H-M 'C 1 m 1'
_symmetry_Int_Tables_number 8
_symmetry_space_group_name_Hall 'C -2y'
loop_
_atom_site_label
_atom_site_type_symbol
_atom_site_fract_x
_atom_site_fract_y
_atom_site_fract_z
Li1 Li 0.0000 0.0000 0.0000
Li2 Li 0.1996 0.0000 0.4496
B1 B 0.1756 0.5000 0.8531
B2 B 0.2321 0.0000 0.0225
B3 B 0.2850 0.5000 0.1369
B4 B 0.3773 0.0000 0.2499
H1 H 0.0506 0.5000 0.8156
H2 H 0.2107 0.5000 0.6453
H3 H 0.3814 0.0000 0.4756
H4 H 0.4984 0.0000 0.2228
```

=====

(2)
# SrNb
Simulated powder X-ray diffraction pattern, Cu Kα (λ = 1.5418 Å). Input: a structure optimized by DFT (PBE).
Neutral-atom scattering factors, no anomalous dispersion.

Top 12 peaks for 10° ≤ 2θ ≤ 90°, sorted by position:
(hkl)	d_spacing	I/Imax
0 2 0	7.059	35
0 1 1	6.951	98
0 2 2	3.476	93
1 2 1	2.978	84
1 3 0	2.861	65
0 5 1	2.662	56
0 4 2	2.645	35
1 1 2	2.628	100
1 0 3	2.141	39
1 5 2	1.942	42
1 7 0	1.760	37
1 5 4	1.485	30

```
data_SrNb
_cell_length_a 3.6034
_cell_length_b 14.1186
_cell_length_c 7.9865
_cell_angle_alpha 90.00
_cell_angle_beta 90.00
_cell_angle_gamma 90.00
_symmetry_space_group_name_H-M 'I m m 2'
_symmetry_Int_Tables_number 44
_symmetry_space_group_name_Hall 'I 2 -2'
loop_
_atom_site_label
_atom_site_type_symbol
_atom_site_fract_x
_atom_site_fract_y
_atom_site_fract_z
Sr1 Sr 0.0000 0.0000 0.0000
Sr2 Sr 0.0000 0.2864 0.8050
Nb1 Nb 0.0000 0.0000 0.4603
Nb2 Nb 0.0000 0.4106 0.1553
```

=====

(3)
# Sm5Er3Tm
Simulated powder X-ray diffraction pattern, Cu Kα (λ = 1.5418 Å). Input: a structure optimized by DFT (PBE).
Neutral-atom scattering factors, no anomalous dispersion.

Top 12 peaks for 10° ≤ 2θ ≤ 90°, sorted by position:
(hkl)	d_spacing	I/Imax
4 0 -2	3.773	10
3 1 -3	3.181	13
0 2 2	2.865	100
5 1 -2	2.844	43
0 0 4	2.808	37
4 0 2	2.782	42
2 2 -3	2.532	13
5 1 -4	2.346	11
5 1 2	2.249	12
2 4 -1	1.628	12
10 0 -4	1.572	11
2 4 3	1.458	13

```
data_Sm5Er3Tm
_cell_length_a 16.1652
_cell_length_b 6.6696
_cell_length_c 11.8506
_cell_angle_alpha 90.00
_cell_angle_beta 108.57
_cell_angle_gamma 90.00
_symmetry_space_group_name_H-M 'C 1 2/c 1'
_symmetry_Int_Tables_number 15
_symmetry_space_group_name_Hall '-C 2yc'
loop_
_atom_site_label
_atom_site_type_symbol
_atom_site_fract_x
_atom_site_fract_y
_atom_site_fract_z
Sm1 Sm 0.0000 0.1872 0.2500
Sm2 Sm 0.1830 0.4459 0.4481
Sm3 Sm 0.2140 0.1935 0.7654
Er1 Er 0.0000 0.5000 0.0000
Er2 Er 0.1064 0.0530 0.0119
Tm1 Tm 0.0000 0.3029 0.7500
```

=====

(4)
# Nd3In4Cu2
Simulated powder X-ray diffraction pattern, Cu Kα (λ = 1.5418 Å). Input: a structure optimized by DFT (PBE).
Neutral-atom scattering factors, no anomalous dispersion.

Top 12 peaks for 10° ≤ 2θ ≤ 90°, sorted by position:
(hkl)	d_spacing	I/Imax
4 0 -1	2.803	19
3 1 0	2.789	100
3 1 -3	2.398	50
0 2 0	2.385	27
4 0 2	1.888	10
4 2 -1	1.817	15
0 2 3	1.813	10
7 1 -1	1.486	9
4 2 2	1.480	16
6 2 -3	1.449	8
3 3 0	1.443	11
3 3 -3	1.380	9

```
data_Nd3In4Cu2
_cell_length_a 11.2645
_cell_length_b 4.7709
_cell_length_c 9.1208
_cell_angle_alpha 90.00
_cell_angle_beta 113.46
_cell_angle_gamma 90.00
_symmetry_space_group_name_H-M 'C 1 2/m 1'
_symmetry_Int_Tables_number 12
_symmetry_space_group_name_Hall '-C 2y'
loop_
_atom_site_label
_atom_site_type_symbol
_atom_site_fract_x
_atom_site_fract_y
_atom_site_fract_z
Nd1 Nd 0.0000 0.0000 0.0000
Nd2 Nd 0.1738 0.5000 0.6475
In1 In 0.0337 0.0000 0.3612
In2 In 0.2308 0.5000 0.0817
Cu1 Cu 0.0955 0.5000 0.2695
```

=====

(5)
# CeDy2Zn9
Simulated powder X-ray diffraction pattern, Cu Kα (λ = 1.5418 Å). Input: a structure optimized by DFT (PBE).
Neutral-atom scattering factors, no anomalous dispersion.

Top 12 peaks for 10° ≤ 2θ ≤ 90°, sorted by position:
(hkl)	d_spacing	I/Imax
1 0 7	2.911	38
1 1 0	2.725	50
0 1 8	2.669	35
0 2 1	2.350	38
1 1 6	2.304	100
0 2 4	2.217	14
0 0 12	2.157	13
2 0 5	2.147	19
0 1 11	2.106	14
2 1 7	1.607	14
3 0 6	1.478	24
2 2 0	1.362	24

```
data_CeDy2Zn9
_cell_length_a 5.4491
_cell_length_b 5.4491
_cell_length_c 25.8839
_cell_angle_alpha 90.00
_cell_angle_beta 90.00
_cell_angle_gamma 120.00
_symmetry_space_group_name_H-M 'R -3 m'
_symmetry_Int_Tables_number 166
_symmetry_space_group_name_Hall '-R 3 2"'
loop_
_atom_site_label
_atom_site_type_symbol
_atom_site_fract_x
_atom_site_fract_y
_atom_site_fract_z
Ce1 Ce 0.0000 0.0000 0.0000
Dy1 Dy 0.0000 0.0000 0.1406
Zn1 Zn 0.0000 0.0000 0.3349
Zn2 Zn 0.0000 0.0000 0.5000
Zn3 Zn 0.0062 0.5031 0.9170
```

=====

(6)
# Na2TiPbO4
Simulated powder X-ray diffraction pattern, Cu Kα (λ = 1.5418 Å). Input: a structure optimized by DFT (PBE).
Neutral-atom scattering factors, no anomalous dispersion.

Top 12 peaks for 10° ≤ 2θ ≤ 90°, sorted by position:
(hkl)	d_spacing	I/Imax
1 1 0	4.854	58
1 0 1	4.472	50
0 1 1	4.064	86
2 0 0	3.959	44
0 2 0	3.072	35
2 1 1	2.836	100
0 0 2	2.710	41
1 2 1	2.532	27
3 1 0	2.426	32
1 1 2	2.366	25
3 1 2	1.807	28
2 1 3	1.588	24

```
data_Na2TiPbO4
_cell_length_a 7.9188
_cell_length_b 6.1437
_cell_length_c 5.4193
_cell_angle_alpha 90.00
_cell_angle_beta 90.00
_cell_angle_gamma 90.00
_symmetry_space_group_name_H-M 'P m n 21'
_symmetry_Int_Tables_number 31
_symmetry_space_group_name_Hall 'P 2ac -2'
loop_
_atom_site_label
_atom_site_type_symbol
_atom_site_fract_x
_atom_site_fract_y
_atom_site_fract_z
Na1 Na 0.2468 0.1815 0.0000
Ti1 Ti 0.0000 0.3310 0.5222
Pb1 Pb 0.0000 0.7080 0.9945
O1 O 0.0000 0.3562 0.8657
O2 O 0.0000 0.6177 0.4071
O3 O 0.1919 0.1879 0.4327
```

=====

(7)
# Dy4Co2Ir
Simulated powder X-ray diffraction pattern, Cu Kα (λ = 1.5418 Å). Input: a structure optimized by DFT (PBE).
Neutral-atom scattering factors, no anomalous dispersion.

Top 12 peaks for 10° ≤ 2θ ≤ 90°, sorted by position:
(hkl)	d_spacing	I/Imax
1 1 -1	5.952	19
2 2 0	2.976	53
4 0 -1	2.701	57
3 1 -3	2.693	100
1 3 0	2.632	92
1 1 2	2.282	33
5 1 -2	2.275	30
4 2 -3	2.264	67
3 3 -1	2.241	20
1 1 -4	1.676	23
5 3 -1	1.658	26
2 4 -3	1.645	28

```
data_Dy4Co2Ir
_cell_length_a 12.0610
_cell_length_b 8.2987
_cell_length_c 8.5424
_cell_angle_alpha 90.00
_cell_angle_beta 134.90
_cell_angle_gamma 90.00
_symmetry_space_group_name_H-M 'C 1 2 1'
_symmetry_Int_Tables_number 5
_symmetry_space_group_name_Hall 'C 2y'
loop_
_atom_site_label
_atom_site_type_symbol
_atom_site_fract_x
_atom_site_fract_y
_atom_site_fract_z
Dy1 Dy 0.0550 0.0000 0.2398
Dy2 Dy 0.0609 0.3755 0.3761
Dy3 Dy 0.1943 0.6400 0.1447
Dy4 Dy 0.1941 0.7352 0.7434
Co1 Co 0.0671 0.6885 0.3172
Co2 Co 0.2471 0.4373 0.9276
Ir1 Ir 0.0000 0.0304 0.5000
Ir2 Ir 0.0000 0.3458 0.0000
```

=====

(8)
# Ce2Mg3Cu2
Simulated powder X-ray diffraction pattern, Cu Kα (λ = 1.5418 Å). Input: a structure optimized by DFT (PBE).
Neutral-atom scattering factors, no anomalous dispersion.

Top 12 peaks for 10° ≤ 2θ ≤ 90°, sorted by position:
(hkl)	d_spacing	I/Imax
0 0 1	5.870	100
2 0 1	3.018	16
1 1 1	2.957	15
0 0 2	2.935	19
3 1 -1	2.904	74
1 1 -2	2.650	28
3 1 -2	2.611	72
3 1 0	2.595	76
0 2 0	2.126	50
6 0 -2	1.988	26
1 1 -3	1.932	17
6 2 -2	1.452	18

```
data_Ce2Mg3Cu2
_cell_length_a 11.9289
_cell_length_b 4.2521
_cell_length_c 7.1268
_cell_angle_alpha 90.00
_cell_angle_beta 124.55
_cell_angle_gamma 90.00
_symmetry_space_group_name_H-M 'C 1 2/m 1'
_symmetry_Int_Tables_number 12
_symmetry_space_group_name_Hall '-C 2y'
loop_
_atom_site_label
_atom_site_type_symbol
_atom_site_fract_x
_atom_site_fract_y
_atom_site_fract_z
Ce1 Ce 0.1655 0.0000 0.0052
Mg1 Mg 0.0000 0.5000 0.5000
Mg2 Mg 0.1655 0.0000 0.5041
Cu1 Cu 0.0652 0.5000 0.2039
```